# K4Cd5P6
Computed PXRD pattern, Cu Kα. Input: a crystal structure in Alexandria, relaxed with PBE.

Cell and atoms:
a b c (Å): 4.430 20.239 17.860
angles (deg): 90.00 90.00 90.00
Space group Cmcm (No. 63)
Symmetry-distinct sites (fractional):
1 K 0.000 0.001 0.123 x8
2 K 0.000 0.182 0.569 x8
3 Cd 0.000 0.128 0.250 x4
4 Cd 0.000 0.275 0.250 x4
5 Cd 0.000 0.365 0.615 x8
6 Cd 0.000 0.428 0.250 x4
7 P 0.000 0.139 0.750 x4
8 P 0.000 0.203 0.123 x8
9 P 0.000 0.444 0.750 x4
10 P 0.000 0.449 0.006 x8

Peak list (10 most intense, 10 to 80 degrees two-theta, by intensity)
2θ (°)	d_spacing	intensity	h k l
25.44	3.501	100	1 1 3
42.47	2.128	59	1 7 4
31.38	2.851	50	1 3 4
10.05	8.805	45	0 2 1
40.73	2.215	41	2 0 0
36.17	2.483	32	1 5 4
26.90	3.315	31	0 6 1
30.02	2.977	30	0 0 6
38.52	2.337	29	1 7 2
40.40	2.233	27	0 0 8